No. 1
This entry pairs a crystal structure of CuP2RhO with its simulated PXRD pattern. Radiation: Cu Kα. Structure: a PBE-relaxed structure.

Structural model:
```
CuP2RhO
1.0
4.765 0.000 0.000
0.000 4.765 0.000
0.000 0.000 3.653
Cu P Rh O
1 2 1 1
direct
0.000 0.000 0.000
0.000 0.500 0.500
0.500 0.000 0.500
0.500 0.500 0.500
0.500 0.500 0.000
```

Most intense lines, 2θ from 10° to 90°, low angle first:
- 2θ = 18.62°, rel. 217
- 2θ = 26.45°, rel. 499
- 2θ = 30.84°, rel. 1000
- 2θ = 37.76°, rel. 731
- 2θ = 49.52°, rel. 530
- 2θ = 49.93°, rel. 156
- 2θ = 54.47°, rel. 237
- 2θ = 64.26°, rel. 279
- 2θ = 76.68°, rel. 141
- 2θ = 77.00°, rel. 162


No. 2
This entry pairs a crystal structure of AlZn6 with its simulated PXRD pattern. Radiation: Cu Kα. Structure: a PBE-relaxed structure.

Structural model:
```
AlZn6
1.0
5.285 0.000 0.000
0.000 5.285 0.000
0.000 0.000 8.220
Al Zn
2 12
direct
0.250 0.750 0.000
0.750 0.250 0.000
0.077 0.577 0.359
0.077 0.923 0.641
0.250 0.250 0.146
0.250 0.250 0.854
0.423 0.577 0.641
0.423 0.923 0.359
0.577 0.077 0.641
0.577 0.423 0.359
0.750 0.750 0.146
0.750 0.750 0.854
0.923 0.077 0.359
0.923 0.423 0.641
```

Most intense lines, 2θ from 10° to 90°, low angle first:
- 2θ = 10.76°, rel. 381
- 2θ = 26.20°, rel. 473
- 2θ = 35.69°, rel. 1000
- 2θ = 39.68°, rel. 844
- 2θ = 40.84°, rel. 683
- 2θ = 44.07°, rel. 378
- 2θ = 44.21°, rel. 978
- 2θ = 47.82°, rel. 569
- 2θ = 54.94°, rel. 368
- 2θ = 72.97°, rel. 356


No. 3
This entry pairs a crystal structure of La3Hg4Au4 with its simulated PXRD pattern. Radiation: Cu Kα. Structure: a PBE-relaxed structure.

Structural model:
```
La3Hg4Au4
1.0
3.712 0.000 0.000
-0.007 4.773 0.000
-1.834 -2.382 15.521
La Hg Au
3 4 4
direct
0.000 0.000 0.000
0.141 0.643 0.284
0.859 0.357 0.716
0.262 0.262 0.525
0.408 0.906 0.815
0.592 0.094 0.185
0.738 0.738 0.475
0.318 0.816 0.633
0.455 0.454 0.910
0.545 0.546 0.090
0.682 0.184 0.367
```

Most intense lines, 2θ from 10° to 90°, low angle first:
- 2θ = 24.15°, rel. 239
- 2θ = 31.43°, rel. 429
- 2θ = 32.67°, rel. 1000
- 2θ = 37.01°, rel. 815
- 2θ = 37.69°, rel. 439
- 2θ = 49.08°, rel. 208
- 2θ = 49.87°, rel. 240
- 2θ = 50.49°, rel. 133
- 2θ = 63.01°, rel. 263
- 2θ = 67.60°, rel. 142


No. 4
This entry pairs a crystal structure of Ce4TmSc3S8 with its simulated PXRD pattern. Radiation: Cu Kα. Structure: a PBE-relaxed structure.

Structural model:
```
Ce4TmSc3S8
1.0
3.838 2.216 6.460
-3.838 2.216 6.460
0.000 -4.432 6.460
Ce Tm Sc S
4 1 3 8
direct
0.000 0.000 0.000
0.000 0.500 0.500
0.500 0.000 0.500
0.500 0.500 0.000
0.500 0.500 0.500
0.000 0.000 0.500
0.000 0.500 0.000
0.500 0.000 0.000
0.237 0.745 0.745
0.241 0.241 0.241
0.255 0.255 0.763
0.255 0.763 0.255
0.745 0.237 0.745
0.745 0.745 0.237
0.759 0.759 0.759
0.763 0.255 0.255
```

Most intense lines, 2θ from 10° to 90°, low angle first:
- 2θ = 27.62°, rel. 148
- 2θ = 28.38°, rel. 398
- 2θ = 32.67°, rel. 1000
- 2θ = 46.38°, rel. 351
- 2θ = 47.37°, rel. 342
- 2θ = 55.71°, rel. 133
- 2θ = 58.73°, rel. 175
- 2θ = 77.20°, rel. 144
- 2θ = 78.67°, rel. 148
- 2θ = 87.45°, rel. 115


No. 5
This entry pairs a crystal structure of Na2TlC2O6 with its simulated PXRD pattern. Radiation: Cu Kα. Structure: a PBE-relaxed structure.

Structural model:
```
Na2TlC2O6
1.0
5.941 0.000 0.000
-2.957 5.226 0.000
-0.020 -2.597 5.569
Na Tl C O
2 1 2 6
direct
0.181 0.361 0.302
0.819 0.639 0.698
0.500 0.000 0.000
0.152 0.304 0.748
0.848 0.696 0.252
0.006 0.388 0.694
0.070 0.136 0.853
0.381 0.391 0.694
0.619 0.609 0.306
0.930 0.864 0.147
0.994 0.612 0.306
```

Most intense lines, 2θ from 10° to 90°, low angle first:
- 2θ = 15.91°, rel. 718
- 2θ = 17.62°, rel. 494
- 2θ = 18.76°, rel. 789
- 2θ = 20.97°, rel. 1000
- 2θ = 26.40°, rel. 428
- 2θ = 29.51°, rel. 757
- 2θ = 30.01°, rel. 404
- 2θ = 32.10°, rel. 685
- 2θ = 33.09°, rel. 556
- 2θ = 35.67°, rel. 475


No. 6
This entry pairs a crystal structure of Cs4K2CdAu2 with its simulated PXRD pattern. Radiation: Cu Kα. Structure: a PBE-relaxed structure.

Structural model:
```
Cs4K2CdAu2
1.0
7.128 0.000 0.000
1.873 8.203 0.000
2.690 0.190 9.560
Cs K Cd Au
4 2 1 2
direct
0.074 0.238 0.475
0.227 0.690 0.898
0.773 0.310 0.102
0.926 0.762 0.525
0.452 0.142 0.779
0.548 0.858 0.221
0.500 0.500 0.500
0.403 0.857 0.560
0.597 0.143 0.440
```

Most intense lines, 2θ from 10° to 90°, low angle first:
- 2θ = 14.05°, rel. 1000
- 2θ = 18.56°, rel. 589
- 2θ = 25.61°, rel. 293
- 2θ = 25.75°, rel. 374
- 2θ = 28.27°, rel. 278
- 2θ = 29.86°, rel. 319
- 2θ = 30.24°, rel. 410
- 2θ = 30.31°, rel. 248
- 2θ = 30.46°, rel. 253
- 2θ = 36.59°, rel. 251


No. 7
This entry pairs a crystal structure of CsRb2TeO4 with its simulated PXRD pattern. Radiation: Cu Kα. Structure: a PBE-relaxed structure.

Structural model:
```
CsRb2TeO4
1.0
-4.047 4.724 4.730
4.047 -4.724 4.730
4.047 4.724 -4.730
Cs Rb Te O
2 4 2 8
direct
0.000 0.000 0.000
0.500 0.000 0.500
0.000 0.500 0.500
0.500 0.000 0.000
0.500 0.500 0.000
0.500 0.500 0.500
0.000 0.000 0.500
0.000 0.500 0.000
0.207 0.000 0.707
0.207 0.219 0.512
0.207 0.500 0.207
0.207 0.695 0.988
0.793 0.000 0.293
0.793 0.305 0.012
0.793 0.500 0.793
0.793 0.781 0.488
```

Most intense lines, 2θ from 10° to 90°, low angle first:
- 2θ = 26.67°, rel. 448
- 2θ = 29.05°, rel. 1000
- 2θ = 38.07°, rel. 289
- 2θ = 44.79°, rel. 95
- 2θ = 48.59°, rel. 435
- 2θ = 52.89°, rel. 140
- 2θ = 60.20°, rel. 143
- 2θ = 62.09°, rel. 99
- 2θ = 63.34°, rel. 117
- 2θ = 79.76°, rel. 99


No. 8
This entry pairs a crystal structure of Rb2PuAsS4 with its simulated PXRD pattern. Radiation: Cu Kα. Structure: a PBE-relaxed structure.

Structural model:
```
Rb2PuAsS4
1.0
-4.205 4.258 5.977
4.205 -4.258 5.977
4.205 4.258 -5.977
Rb Pu As S
4 2 2 8
direct
0.000 0.000 0.000
0.500 0.000 0.000
0.500 0.000 0.500
0.500 0.500 0.500
0.000 0.500 0.500
0.500 0.500 0.000
0.000 0.000 0.500
0.000 0.500 0.000
0.186 0.733 0.453
0.220 0.267 0.953
0.225 0.261 0.537
0.225 0.688 0.963
0.775 0.312 0.037
0.775 0.739 0.463
0.780 0.733 0.047
0.814 0.267 0.547
```

Most intense lines, 2θ from 10° to 90°, low angle first:
- 2θ = 12.87°, rel. 365
- 2θ = 25.69°, rel. 353
- 2θ = 25.91°, rel. 337
- 2θ = 29.87°, rel. 1000
- 2θ = 42.76°, rel. 464
- 2θ = 43.02°, rel. 117
- 2θ = 50.41°, rel. 144
- 2θ = 50.75°, rel. 203
- 2θ = 53.27°, rel. 119
- 2θ = 70.40°, rel. 182


No. 9
This entry pairs a crystal structure of LaSc2Bi with its simulated PXRD pattern. Radiation: Cu Kα. Structure: a PBE-relaxed structure.

Structural model:
```
LaSc2Bi
1.0
4.832 0.000 0.000
0.000 4.832 0.000
0.000 0.000 4.591
La Sc Bi
1 2 1
direct
0.000 0.000 0.000
0.000 0.500 0.500
0.500 0.000 0.500
0.500 0.500 0.000
```

Most intense lines, 2θ from 10° to 90°, low angle first:
- 2θ = 19.33°, rel. 296
- 2θ = 26.08°, rel. 297
- 2θ = 32.67°, rel. 1000
- 2θ = 37.21°, rel. 351
- 2θ = 39.25°, rel. 151
- 2θ = 42.27°, rel. 174
- 2θ = 47.73°, rel. 125
- 2θ = 55.20°, rel. 222
- 2θ = 64.24°, rel. 280
- 2θ = 67.01°, rel. 124


No. 10
This entry pairs a crystal structure of Hf6In3Co with its simulated PXRD pattern. Radiation: Cu Kα. Structure: a PBE-relaxed structure.

Structural model:
```
Hf6In3Co
1.0
5.440 0.000 0.000
0.000 8.336 0.000
-5.143 0.000 9.692
Hf In Co
12 6 2
direct
0.060 0.159 0.459
0.060 0.341 0.959
0.360 0.710 0.434
0.360 0.790 0.934
0.421 0.078 0.274
0.421 0.422 0.774
0.579 0.578 0.226
0.579 0.922 0.726
0.640 0.210 0.066
0.640 0.290 0.566
0.940 0.659 0.041
0.940 0.841 0.541
0.000 0.000 0.000
0.000 0.500 0.500
0.147 0.101 0.767
0.147 0.399 0.267
0.853 0.601 0.733
0.853 0.899 0.233
0.500 0.000 0.500
0.500 0.500 0.000
```

Most intense lines, 2θ from 10° to 90°, low angle first:
- 2θ = 28.24°, rel. 340
- 2θ = 31.78°, rel. 367
- 2θ = 32.49°, rel. 497
- 2θ = 33.07°, rel. 474
- 2θ = 33.59°, rel. 410
- 2θ = 34.45°, rel. 674
- 2θ = 34.71°, rel. 396
- 2θ = 36.28°, rel. 1000
- 2θ = 37.11°, rel. 348
- 2θ = 37.36°, rel. 439


No. 11
This entry pairs a crystal structure of PtI3 with its simulated PXRD pattern. Radiation: Cu Kα. Structure: a PBE-relaxed structure.

Structural model:
```
PtI3
1.0
3.575 -6.136 0.000
3.575 6.136 0.000
-2.648 0.000 13.263
Pt I
4 12
direct
0.000 0.500 0.500
0.096 0.904 0.750
0.500 0.000 0.000
0.904 0.096 0.250
0.067 0.192 0.641
0.164 0.655 0.880
0.192 0.067 0.141
0.238 0.440 0.376
0.345 0.836 0.620
0.440 0.238 0.876
0.560 0.762 0.124
0.655 0.164 0.380
0.762 0.560 0.624
0.808 0.933 0.859
0.836 0.345 0.120
0.933 0.808 0.359
```

Most intense lines, 2θ from 10° to 90°, low angle first:
- 2θ = 14.55°, rel. 211
- 2θ = 14.94°, rel. 664
- 2θ = 15.91°, rel. 167
- 2θ = 19.71°, rel. 247
- 2θ = 30.80°, rel. 1000
- 2θ = 31.10°, rel. 482
- 2θ = 41.17°, rel. 170
- 2θ = 43.96°, rel. 503
- 2θ = 44.28°, rel. 152
- 2θ = 44.70°, rel. 346


No. 12
This entry pairs a crystal structure of Tm2CoC2 with its simulated PXRD pattern. Radiation: Cu Kα. Structure: a PBE-relaxed structure.

Structural model:
```
Tm2CoC2
1.0
6.210 0.000 0.000
0.000 4.931 0.000
0.000 0.000 9.523
Tm Co C
8 4 8
direct
0.020 0.250 0.217
0.178 0.250 0.556
0.322 0.750 0.056
0.480 0.750 0.717
0.520 0.250 0.283
0.678 0.250 0.944
0.822 0.750 0.444
0.980 0.750 0.783
0.229 0.250 0.858
0.271 0.750 0.358
0.729 0.250 0.642
0.771 0.750 0.142
0.037 0.750 0.237
0.184 0.750 0.549
0.316 0.250 0.049
0.463 0.250 0.737
0.537 0.750 0.263
0.684 0.750 0.951
0.816 0.250 0.451
0.963 0.250 0.763
```

Most intense lines, 2θ from 10° to 90°, low angle first:
- 2θ = 24.88°, rel. 361
- 2θ = 29.79°, rel. 308
- 2θ = 33.58°, rel. 922
- 2θ = 34.12°, rel. 327
- 2θ = 34.48°, rel. 539
- 2θ = 35.44°, rel. 1000
- 2θ = 36.44°, rel. 767
- 2θ = 36.65°, rel. 318
- 2θ = 51.04°, rel. 351
- 2θ = 62.35°, rel. 285